# MgPaVO6
Simulated powder diffractogram, Cu Kα (λ = 1.5418 Å). Input: a crystal structure in Alexandria, relaxed with GGA+U.
No peak broadening, texture or thermal motion is included.

Principal peaks in the range 2θ from 15° to 90°, low angle first:
2θ 19.01, d = 4.668 Å, I = 49, hkl 1 0 0
2θ 20.14, d = 4.409 Å, I = 69, hkl 0 0 2
2θ 21.54, d = 4.126 Å, I = 100, hkl 1 0 1
2θ 27.83, d = 3.206 Å, I = 76, hkl 1 0 2
2θ 33.24, d = 2.695 Å, I = 57, hkl 1 1 0
2θ 36.11, d = 2.488 Å, I = 36, hkl 1 0 3
2θ 39.17, d = 2.300 Å, I = 76, hkl 1 1 2
2θ 39.96, d = 2.256 Å, I = 30, hkl 2 0 1
2θ 52.92, d = 1.730 Å, I = 25, hkl 3 -1 1
2θ 53.71, d = 1.707 Å, I = 53, hkl 1 1 4

Cell and atoms:
Cell lengths 5.390, 5.390, 8.819 Å; angles 90.00, 90.00, 120.00 degrees
Atoms (fractional coordinates):
Mg: 0.000 0.000 0.000
Mg: 0.000 0.000 0.500
Pa: 0.333 0.667 0.250
Pa: 0.667 0.333 0.750
V: 0.333 0.667 0.750
V: 0.667 0.333 0.250
O: 0.037 0.367 0.633
O: 0.037 0.670 0.867
O: 0.330 0.367 0.867
O: 0.330 0.963 0.633
O: 0.367 0.037 0.133
O: 0.367 0.330 0.367
O: 0.633 0.670 0.633
O: 0.633 0.963 0.867
O: 0.670 0.037 0.367
O: 0.670 0.633 0.133
O: 0.963 0.330 0.133
O: 0.963 0.633 0.367